Calculated X-ray diffraction stick pattern
Compound: Na2PuTeO6
Radiation: Cu Kα (λ = 1.5418 Å)
Structure: a structure optimized by DFT (PBE)
Intensities are scaled so that the largest is 100.

Atomic structure:
Cell: 5.8908 5.8908 4.1648 Å, 90.00 90.00 90.00°
Space group P4mm (No. 99)
One atom of each set of equivalent atoms:
Na (0.0000, 0.5000, 0.0000) x2
Pu (0.0000, 0.0000, 0.5559) x1
Te (0.5000, 0.5000, 0.5500) x1
O (0.0000, 0.0000, 0.0575) x1
O (0.2550, 0.2550, 0.5708) x4
O (0.5000, 0.5000, 0.0660) x1

Main lines, by angle (10° ≤ 2θ ≤ 80°):
2θ/deg, I/Imax
15.0, 13.0
21.3, 100.0
26.2, 7.6
30.3, 96.8
37.4, 12.3
43.5, 32.7
48.9, 45.3
53.9, 39.7
63.1, 19.9
67.5, 22.0
71.6, 17.0
75.7, 7.0